(1)
# LiIrF6
Calculated powder X-ray diffraction pattern, Cu Ka. Input: a GGA-PBE-relaxed structure.
Kinematic intensities with the Lorentz-polarization factor, no thermal factor.

Top 12 peaks for 2θ from 15° to 90°, by angle:
2θ = 19.3°, I = 39
2θ = 20.7°, I = 100
2θ = 23.5°, I = 95
2θ = 32.7°, I = 27
2θ = 34.4°, I = 15
2θ = 38.2°, I = 19
2θ = 39.7°, I = 43
2θ = 40.4°, I = 16
2θ = 48.1°, I = 17
2θ = 53.1°, I = 27
2θ = 54.1°, I = 14
2θ = 55.4°, I = 16

Structural model:
Unit cell a=5.4967 b=5.4967 c=5.4967 alpha=56.70 beta=56.70 gamma=56.70
Sites, in units of the cell vectors:
Li1 0.0000 0.0000 0.0000
Ir1 0.5000 0.5000 0.5000
F1 0.1452 0.7391 0.3747
F2 0.2609 0.6253 0.8548
F3 0.3747 0.1452 0.7391
F4 0.6253 0.8548 0.2609
F5 0.7391 0.3747 0.1452
F6 0.8548 0.2609 0.6253

(2)
# BaSrNdSbO6
Calculated powder X-ray diffraction pattern, Cu Ka. Input: a GGA-PBE-relaxed structure.
Kinematic intensities with the Lorentz-polarization factor, no thermal factor.

Top 12 peaks for 2θ from 15° to 90°, by angle:
2θ = 29.4°, I = 100
2θ = 29.5°, I = 67
2θ = 29.6°, I = 33
2θ = 42.2°, I = 55
2θ = 52.2°, I = 43
2θ = 52.4°, I = 21
2θ = 52.5°, I = 14
2θ = 61.1°, I = 10
2θ = 61.2°, I = 11
2θ = 69.2°, I = 11
2θ = 69.3°, I = 11
2θ = 84.8°, I = 9

Structural model:
Unit cell a=6.0586 b=6.0720 c=8.5675 alpha=90.25 beta=90.33 gamma=90.05
Sites, in units of the cell vectors:
Ba1 0.0044 0.0200 0.2500
Ba2 0.9956 0.9800 0.7500
Sr1 0.4939 0.5299 0.2526
Sr2 0.5061 0.4701 0.7474
Nd1 0.0000 0.5000 0.5000
Nd2 0.5000 0.0000 0.0000
Sb1 0.0000 0.5000 0.0000
Sb2 0.5000 0.0000 0.5000
O1 0.0784 0.5020 0.7696
O2 0.2036 0.7597 0.0340
O3 0.2392 0.7968 0.4742
O4 0.2613 0.3002 0.0426
O5 0.3056 0.2671 0.4595
O6 0.4430 0.0341 0.7309
O7 0.5570 0.9659 0.2691
O8 0.6944 0.7329 0.5405
O9 0.7387 0.6998 0.9574
O10 0.7608 0.2032 0.5258
O11 0.7964 0.2403 0.9660
O12 0.9216 0.4980 0.2304

(3)
# LaSb12Os4
Calculated powder X-ray diffraction pattern, Cu Ka. Input: a GGA-PBE-relaxed structure.
Kinematic intensities with the Lorentz-polarization factor, no thermal factor.

Top 12 peaks for 2θ from 15° to 90°, by angle:
2θ = 18.8°, I = 30
2θ = 26.7°, I = 30
2θ = 30.0°, I = 100
2θ = 35.6°, I = 46
2θ = 42.9°, I = 53
2θ = 47.2°, I = 61
2θ = 49.3°, I = 28
2θ = 56.9°, I = 14
2θ = 62.2°, I = 16
2θ = 67.3°, I = 18
2θ = 84.7°, I = 13
2θ = 87.8°, I = 25

Structural model:
Unit cell a=8.1695 b=8.1695 c=8.1695 alpha=109.47 beta=109.47 gamma=109.47
Sites, in units of the cell vectors:
La1 0.0000 0.0000 0.0000
Sb1 0.1569 0.3388 0.4957
Sb2 0.1569 0.6612 0.8181
Sb3 0.1819 0.8431 0.3388
Sb4 0.3388 0.1819 0.8431
Sb5 0.3388 0.4957 0.1569
Sb6 0.4957 0.1569 0.3388
Sb7 0.5043 0.8431 0.6612
Sb8 0.6612 0.5043 0.8431
Sb9 0.6612 0.8181 0.1569
Sb10 0.8181 0.1569 0.6612
Sb11 0.8431 0.3388 0.1819
Sb12 0.8431 0.6612 0.5043
Os1 0.0000 0.0000 0.5000
Os2 0.0000 0.5000 0.0000
Os3 0.5000 0.0000 0.0000
Os4 0.5000 0.5000 0.5000

Question: Which formula does entry 2 have?
Answer: BaSrNdSbO6